Entry 1:
Starting from a DFT-relaxed cell (PBE, Alexandria), the X-ray powder pattern of Sm4Ho3Er4 was calculated for copper Kα.

Most intense lines, 2θ = 10–80°, sorted by position:
Position (°2θ)	I (rel.)	h k l
31.03	40	1 0 7
31.74	89	1 1 4
31.86	52	0 2 0
32.01	100	0 1 11
45.07	29	1 2 7
62.53	45	2 2 0

Structure:
```
data_Sm4Ho3Er4
_symmetry_space_group_name_H-M 'I m m m'
_symmetry_Int_Tables_number 71
_symmetry_space_group_name_Hall '-I 2 2'
_cell_length_a 3.505
_cell_length_b 5.617
_cell_length_c 35.456
_cell_angle_alpha 90.00
_cell_angle_beta 90.00
_cell_angle_gamma 90.00
loop_
_atom_site_label
_atom_site_type_symbol
_atom_site_fract_x
_atom_site_fract_y
_atom_site_fract_z
Sm1 Sm 0.000 0.000 0.090
Sm2 Sm 0.000 0.500 0.233
Ho1 Ho 0.000 0.000 0.364
Ho2 Ho 0.000 0.500 0.500
Er1 Er 0.000 0.000 0.180
Er2 Er 0.000 0.500 0.045
```

=====

Entry 2:
Starting from a DFT-relaxed cell (PBE, Alexandria), the X-ray powder pattern of SmHo3Er5 was calculated for copper Kα.

Most intense lines, 2θ = 10–80°, sorted by position:
Position (°2θ)	I (rel.)	h k l
31.73	98	3 1 2
32.20	100	6 0 0
45.84	34	0 4 2
57.09	22	6 4 2
57.37	11	9 3 0
63.05	20	3 3 4

Structure:
```
data_SmHo3Er5
_symmetry_space_group_name_H-M 'C m c m'
_symmetry_Int_Tables_number 63
_symmetry_space_group_name_Hall '-C 2c 2'
_cell_length_a 16.703
_cell_length_b 9.614
_cell_length_c 6.959
_cell_angle_alpha 90.00
_cell_angle_beta 90.00
_cell_angle_gamma 90.00
loop_
_atom_site_label
_atom_site_type_symbol
_atom_site_fract_x
_atom_site_fract_y
_atom_site_fract_z
Sm1 Sm 0.000 0.192 0.250
Ho1 Ho 0.000 0.500 0.000
Ho2 Ho 0.169 0.000 0.000
Er1 Er 0.000 0.144 0.750
Er2 Er 0.156 0.345 0.750
Er3 Er 0.177 0.323 0.250
```

=====

Entry 3:
Starting from a DFT-relaxed cell (PBE, Alexandria), the X-ray powder pattern of Sm16Ho7Er6 was calculated for copper Kα.

Most intense lines, 2θ = 10–80°, sorted by position:
Position (°2θ)	I (rel.)	h k l
29.31	10	3 3 3
31.98	100	4 4 0
45.85	15	8 0 0
56.99	28	8 4 4
66.85	8	8 8 0
76.03	8	12 4 0

Structure:
```
data_Sm16Ho7Er6
_symmetry_space_group_name_H-M 'F m -3 m'
_symmetry_Int_Tables_number 225
_symmetry_space_group_name_Hall '-F 4 2 3'
_cell_length_a 15.833
_cell_length_b 15.833
_cell_length_c 15.833
_cell_angle_alpha 90.00
_cell_angle_beta 90.00
_cell_angle_gamma 90.00
loop_
_atom_site_label
_atom_site_type_symbol
_atom_site_fract_x
_atom_site_fract_y
_atom_site_fract_z
Sm1 Sm 0.124 0.124 0.124
Sm2 Sm 0.149 0.149 0.351
Ho1 Ho 0.000 0.000 0.000
Ho2 Ho 0.000 0.250 0.250
Er1 Er 0.000 0.000 0.267
```

=====

Entry 4:
Starting from a DFT-relaxed cell (PBE, Alexandria), the X-ray powder pattern of Sm16Ho6Er7 was calculated for copper Kα.

Most intense lines, 2θ = 10–80°, sorted by position:
Position (°2θ)	I (rel.)	h k l
29.32	10	3 3 3
31.99	100	4 4 0
45.87	15	8 0 0
57.01	27	8 4 4
66.88	7	8 8 0
76.07	8	12 4 0

Structure:
```
data_Sm16Ho6Er7
_symmetry_space_group_name_H-M 'F m -3 m'
_symmetry_Int_Tables_number 225
_symmetry_space_group_name_Hall '-F 4 2 3'
_cell_length_a 15.827
_cell_length_b 15.827
_cell_length_c 15.827
_cell_angle_alpha 90.00
_cell_angle_beta 90.00
_cell_angle_gamma 90.00
loop_
_atom_site_label
_atom_site_type_symbol
_atom_site_fract_x
_atom_site_fract_y
_atom_site_fract_z
Sm1 Sm 0.124 0.124 0.124
Sm2 Sm 0.150 0.150 0.350
Ho1 Ho 0.000 0.000 0.268
Er1 Er 0.000 0.000 0.000
Er2 Er 0.000 0.250 0.250
```

=====

Entry 5:
Starting from a DFT-relaxed cell (PBE, Alexandria), the X-ray powder pattern of Sm5Ho2Er3 was calculated for copper Kα.

Most intense lines, 2θ = 10–80°, sorted by position:
Position (°2θ)	I (rel.)	h k l
29.98	100	2 2 -3
30.84	95	2 4 0
32.17	24	0 4 2
33.56	47	4 0 -2
60.80	25	4 6 1
64.64	23	2 4 -6

Structure:
```
data_Sm5Ho2Er3
_symmetry_space_group_name_H-M 'C 1 2/c 1'
_symmetry_Int_Tables_number 15
_cell_length_a 10.682
_cell_length_b 15.245
_cell_length_c 9.735
_cell_angle_alpha 90.00
_cell_angle_beta 123.23
_cell_angle_gamma 90.00
loop_
_symmetry_equiv_pos_as_xyz
'x,y,z'
'-x,-y,-z'
'-x,y,-z+1/2'
'x,-y,z+1/2'
'x+1/2,y+1/2,z'
'-x+1/2,-y+1/2,-z'
'-x+1/2,y+1/2,-z+1/2'
'x+1/2,-y+1/2,z+1/2'
loop_
_atom_site_label
_atom_site_type_symbol
_atom_site_fract_x
_atom_site_fract_y
_atom_site_fract_z
Sm1 Sm 0.000 0.026 0.250
Sm2 Sm 0.000 0.232 0.250
Sm3 Sm 0.000 0.271 0.750
Sm4 Sm 0.238 0.385 0.227
Ho1 Ho 0.156 0.381 0.551
Er1 Er 0.000 0.471 0.750
Er2 Er 0.146 0.123 0.052
```

=====

Entry 6:
Starting from a DFT-relaxed cell (PBE, Alexandria), the X-ray powder pattern of Sm3HoEr3 was calculated for copper Kα.

Most intense lines, 2θ = 10–80°, sorted by position:
Position (°2θ)	I (rel.)	h k l
28.50	24	1 2 0
31.41	25	0 0 2
32.63	100	1 2 1
50.48	20	4 1 0
56.70	21	1 2 3
60.67	23	4 1 2

Structure:
```
data_Sm3HoEr3
_symmetry_space_group_name_H-M 'P 63/m'
_symmetry_Int_Tables_number 176
_symmetry_space_group_name_Hall '-P 6c'
_cell_length_a 9.5668
_cell_length_b 9.5668
_cell_length_c 5.6957
_cell_angle_alpha 90.00
_cell_angle_beta 90.00
_cell_angle_gamma 120.00
loop_
_atom_site_label
_atom_site_type_symbol
_atom_site_fract_x
_atom_site_fract_y
_atom_site_fract_z
Sm1 Sm 0.0484 0.8067 0.2500
Ho1 Ho 0.3333 0.6667 0.2500
Er1 Er 0.0948 0.6171 0.7500
```

=====

Entry 7:
Starting from a DFT-relaxed cell (PBE, Alexandria), the X-ray powder pattern of Sm2Ho12Er5 was calculated for copper Kα.

Most intense lines, 2θ = 10–80°, sorted by position:
Position (°2θ)	I (rel.)	h k l
31.04	100	2 0 -1
35.99	51	1 2 2
51.82	36	0 1 6
61.64	43	3 2 1
64.71	12	4 0 -2
76.33	6	2 4 4

Structure:
```
data_Sm2Ho12Er5
_symmetry_space_group_name_H-M 'P -1'
_symmetry_Int_Tables_number 2
_cell_length_a 6.113
_cell_length_b 9.339
_cell_length_c 11.151
_cell_angle_alpha 90.05
_cell_angle_beta 100.52
_cell_angle_gamma 109.07
loop_
_symmetry_equiv_pos_as_xyz
'x,y,z'
'-x,-y,-z'
loop_
_atom_site_label
_atom_site_type_symbol
_atom_site_fract_x
_atom_site_fract_y
_atom_site_fract_z
Sm1 Sm 0.210 0.474 0.420
Ho1 Ho 0.053 0.368 0.104
Ho2 Ho 0.106 0.738 0.210
Ho3 Ho 0.158 0.105 0.315
Ho4 Ho 0.314 0.209 0.632
Ho5 Ho 0.369 0.579 0.739
Ho6 Ho 0.421 0.947 0.843
Er1 Er 0.000 0.000 0.000
Er2 Er 0.265 0.844 0.527
Er3 Er 0.474 0.315 0.947
```

=====

Entry 8:
Starting from a DFT-relaxed cell (PBE, Alexandria), the X-ray powder pattern of Sm2Ho2Er5 was calculated for copper Kα.

Most intense lines, 2θ = 10–80°, sorted by position:
Position (°2θ)	I (rel.)	h k l
30.73	73	5 1 -1
31.20	86	2 2 -2
31.57	100	4 0 -4
31.79	89	1 1 3
32.25	41	2 2 1
32.90	57	2 0 3

Structure:
```
data_Sm2Ho2Er5
_symmetry_space_group_name_H-M 'C 1 2 1'
_symmetry_Int_Tables_number 5
_cell_length_a 16.487
_cell_length_b 6.646
_cell_length_c 11.821
_cell_angle_alpha 90.00
_cell_angle_beta 116.96
_cell_angle_gamma 90.00
loop_
_symmetry_equiv_pos_as_xyz
'x,y,z'
'-x,y,-z'
'x+1/2,y+1/2,z'
'-x+1/2,y+1/2,-z'
loop_
_atom_site_label
_atom_site_type_symbol
_atom_site_fract_x
_atom_site_fract_y
_atom_site_fract_z
Sm1 Sm 0.000 0.000 0.000
Sm2 Sm 0.000 0.458 0.500
Sm3 Sm 0.233 0.085 0.213
Ho1 Ho 0.115 0.985 0.613
Ho2 Ho 0.151 0.568 0.150
Er1 Er 0.044 0.721 0.310
Er2 Er 0.072 0.180 0.309
Er3 Er 0.112 0.365 0.860
Er4 Er 0.174 0.874 0.925
Er5 Er 0.238 0.383 0.517
```

=====

Entry 9:
Starting from a DFT-relaxed cell (PBE, Alexandria), the X-ray powder pattern of Sm2Ho4Er7 was calculated for copper Kα.

Most intense lines, 2θ = 10–80°, sorted by position:
Position (°2θ)	I (rel.)	h k l
26.84	19	0 0 4
30.48	48	1 1 1
32.69	100	2 -1 2
36.10	32	1 1 3
52.73	30	3 0 0
64.05	27	1 1 8

Structure:
```
data_Sm2Ho4Er7
_symmetry_space_group_name_H-M 'P -3 1 m'
_symmetry_Int_Tables_number 162
_symmetry_space_group_name_Hall '-P 3 2'
_cell_length_a 6.0138
_cell_length_b 6.0138
_cell_length_c 13.2887
_cell_angle_alpha 90.00
_cell_angle_beta 90.00
_cell_angle_gamma 120.00
loop_
_atom_site_label
_atom_site_type_symbol
_atom_site_fract_x
_atom_site_fract_y
_atom_site_fract_z
Sm1 Sm 0.3333 0.6667 0.0000
Ho1 Ho 0.0000 0.0000 0.3949
Ho2 Ho 0.3333 0.6667 0.5000
Er1 Er 0.0000 0.0000 0.0000
Er2 Er 0.0000 0.3508 0.2153
```

=====

Entry 10:
Starting from a DFT-relaxed cell (PBE, Alexandria), the X-ray powder pattern of SmHo2Er was calculated for copper Kα.

Most intense lines, 2θ = 10–80°, sorted by position:
Position (°2θ)	I (rel.)	h k l
28.50	24	0 0 2
31.69	24	0 4 0
32.70	100	1 2 1
43.14	16	0 4 2
57.09	21	1 6 1
60.88	15	1 4 3

Structure:
```
data_SmHo2Er
_symmetry_space_group_name_H-M 'I m m 2'
_symmetry_Int_Tables_number 44
_cell_length_a 3.624
_cell_length_b 11.294
_cell_length_c 6.250
_cell_angle_alpha 90.00
_cell_angle_beta 90.00
_cell_angle_gamma 90.00
loop_
_symmetry_equiv_pos_as_xyz
'x,y,z'
'-x,-y,z'
'-x,y,z'
'x,-y,z'
'x+1/2,y+1/2,z+1/2'
'-x+1/2,-y+1/2,z+1/2'
'-x+1/2,y+1/2,z+1/2'
'x+1/2,-y+1/2,z+1/2'
loop_
_atom_site_label
_atom_site_type_symbol
_atom_site_fract_x
_atom_site_fract_y
_atom_site_fract_z
Sm1 Sm 0.000 0.000 0.000
Ho1 Ho 0.000 0.248 0.665
Er1 Er 0.000 0.500 0.997
```

=====

Entry 11:
Starting from a DFT-relaxed cell (PBE, Alexandria), the X-ray powder pattern of Sm2Ho3Er9 was calculated for copper Kα.

Most intense lines, 2θ = 10–80°, sorted by position:
Position (°2θ)	I (rel.)	h k l
30.77	31	-1 1 3
31.05	61	1 -2 2
31.26	100	1 1 2
33.31	33	0 3 0
33.91	23	2 0 -1
34.96	23	0 1 -4

Structure:
```
data_Sm2Ho3Er9
_symmetry_space_group_name_H-M 'P 1'
_symmetry_Int_Tables_number 1
_cell_length_a 5.346
_cell_length_b 8.259
_cell_length_c 10.576
_cell_angle_alpha 97.58
_cell_angle_beta 100.70
_cell_angle_gamma 98.07
loop_
_symmetry_equiv_pos_as_xyz
'x,y,z'
loop_
_atom_site_label
_atom_site_type_symbol
_atom_site_fract_x
_atom_site_fract_y
_atom_site_fract_z
Sm1 Sm 0.000 0.000 0.000
Sm2 Sm 0.042 0.957 0.481
Ho1 Ho 0.229 0.573 0.574
Ho2 Ho 0.521 0.979 0.240
Ho3 Ho 0.812 0.385 0.907
Er1 Er 0.042 0.289 0.306
Er2 Er 0.195 0.267 0.752
Er3 Er 0.411 0.675 0.942
Er4 Er 0.434 0.346 0.103
Er5 Er 0.519 0.979 0.741
Er6 Er 0.607 0.611 0.378
Er7 Er 0.630 0.282 0.539
Er8 Er 0.846 0.691 0.729
Er9 Er 0.999 0.669 0.175
```